No. 1
For WSCl4, DFT lattice parameters and positions (GGA-PBE) gives the calculated powder diffractogram in this record (Cu Kα (λ = 1.5418 Å)).

Crystal structure
Cell: 6.4439 7.4781 8.6171 Å, 75.43 68.23 84.29°
Space group P-1 (No. 2)
Inequivalent atoms, fractional coordinates:
W (0.1395, 0.2605, 0.2846) (multiplicity 2)
S (0.2988, 0.5176, 0.2099) (multiplicity 2)
Cl (0.0824, 0.2341, 0.0430) (multiplicity 2)
Cl (0.1175, 0.1576, 0.5690) (multiplicity 2)
Cl (0.2321, 0.6627, 0.6081) (multiplicity 2)
Cl (0.4341, 0.0581, 0.2180) (multiplicity 2)

Main lines, sorted by position (2θ = 15–90°):
Position (°2θ)	I (rel.)	(hkl)
15.09	100	1 0 1
18.58	75	0 1 -1
19.18	44	1 1 0
19.31	30	1 -1 0
22.74	36	1 1 2
22.85	30	0 0 2
24.60	36	0 2 0
28.74	40	1 2 0
32.30	52	1 0 3
32.46	41	2 -1 0



No. 2
For Na4ZnInP3O12, DFT lattice parameters and positions (GGA-PBE) gives the calculated powder diffractogram in this record (Cu Kα (λ = 1.5418 Å)).

Crystal structure
Cell: 9.1625 9.1625 22.1029 Å, 90.00 90.00 120.00°
Space group R3c (No. 161, hexagonal axes)
Inequivalent atoms, fractional coordinates:
Na (0.0000, 0.0000, 0.0000) (multiplicity 6)
Na (0.0380, 0.3410, 0.0853) (multiplicity 18)
Zn (0.0000, 0.0000, 0.3495) (multiplicity 6)
In (0.0000, 0.0000, 0.1567) (multiplicity 6)
P (0.0344, 0.3669, 0.9217) (multiplicity 18)
O (0.0160, 0.1899, 0.9166) (multiplicity 18)
O (0.0331, 0.2245, 0.1969) (multiplicity 18)
O (0.1446, 0.4515, 0.9774) (multiplicity 18)
O (0.1607, 0.4779, 0.2583) (multiplicity 18)

Main lines, sorted by position (2θ = 15–90°):
Position (°2θ)	I (rel.)	(hkl)
19.38	38	1 1 0
19.58	47	1 0 4
22.86	21	1 1 3
27.68	23	0 2 4
31.15	100	1 1 6
33.89	55	3 0 0
46.70	38	2 2 6
51.35	16	2 1 10
52.89	21	4 1 0
58.94	26	4 1 6